# 1
This entry pairs a crystal structure of NaCaMg6 with its theoretical X-ray powder pattern. Radiation: Cu Kα (weighted mean of Kα1 and Kα2). Structure: a cell relaxed with GGA-PBE.

Atomic structure:
```
data_NaCaMg6
_chemical_formula_sum 'Na2 Ca2 Mg12'
_space_group_name_H-M_alt 'P 1'
_space_group_IT_number 1
_cell_length_a 5.388
_cell_length_b 6.631
_cell_length_c 11.789
_cell_angle_alpha 90.00
_cell_angle_beta 90.00
_cell_angle_gamma 90.00
loop_
_space_group_symop_operation_xyz
'x,y,z'
loop_
_atom_site_label
_atom_site_type_symbol
_atom_site_fract_x
_atom_site_fract_y
_atom_site_fract_z
Na1 Na 0.000 0.000 0.000
Na2 Na 0.000 0.500 0.500
Ca1 Ca 0.000 0.000 0.501
Ca2 Ca 0.000 0.500 0.001
Mg1 Mg 0.000 0.247 0.752
Mg2 Mg 0.000 0.253 0.252
Mg3 Mg 0.000 0.747 0.252
Mg4 Mg 0.000 0.753 0.752
Mg5 Mg 0.500 0.000 0.169
Mg6 Mg 0.500 0.000 0.670
Mg7 Mg 0.500 0.248 0.912
Mg8 Mg 0.500 0.252 0.412
Mg9 Mg 0.500 0.500 0.170
Mg10 Mg 0.500 0.500 0.669
Mg11 Mg 0.500 0.748 0.412
Mg12 Mg 0.500 0.752 0.912
```

Peak list (10 most intense, 10 to 80 degrees two-theta, in order of falling intensity)
d 2.547, rel. 100
d 2.586, rel. 55
d 2.694, rel. 40
d 2.890, rel. 26
d 1.432, rel. 20
d 1.525, rel. 19
d 1.690, rel. 18
d 1.970, rel. 16
d 1.396, rel. 14
d 2.947, rel. 12

# 2
This entry pairs a crystal structure of NaCaMg14 with its theoretical X-ray powder pattern. Radiation: Cu Kα (weighted mean of Kα1 and Kα2). Structure: a cell relaxed with GGA-PBE.

Atomic structure:
```
data_NaCaMg14
_chemical_formula_sum 'Na1 Ca1 Mg14'
_space_group_name_H-M_alt 'P 1'
_space_group_IT_number 1
_cell_length_a 10.534
_cell_length_b 6.572
_cell_length_c 6.572
_cell_angle_alpha 59.79
_cell_angle_beta 90.00
_cell_angle_gamma 90.00
loop_
_space_group_symop_operation_xyz
'x,y,z'
loop_
_atom_site_label
_atom_site_type_symbol
_atom_site_fract_x
_atom_site_fract_y
_atom_site_fract_z
Na1 Na 0.000 0.000 0.000
Ca1 Ca 0.000 0.500 0.500
Mg1 Mg 0.000 0.507 0.999
Mg2 Mg 0.000 0.999 0.507
Mg3 Mg 0.251 0.170 0.170
Mg4 Mg 0.256 0.670 0.670
Mg5 Mg 0.262 0.165 0.666
Mg6 Mg 0.262 0.666 0.165
Mg7 Mg 0.500 0.001 0.001
Mg8 Mg 0.500 0.001 0.502
Mg9 Mg 0.500 0.501 0.501
Mg10 Mg 0.500 0.502 0.001
Mg11 Mg 0.738 0.165 0.666
Mg12 Mg 0.738 0.666 0.165
Mg13 Mg 0.744 0.670 0.670
Mg14 Mg 0.749 0.170 0.170
```

Peak list (10 most intense, 10 to 80 degrees two-theta, in order of falling intensity)
d 2.502, rel. 100
d 2.633, rel. 25
d 1.494, rel. 18
d 2.840, rel. 16
d 1.932, rel. 15
d 1.394, rel. 13
d 1.643, rel. 12
d 1.371, rel. 9
d 2.849, rel. 8
d 1.391, rel. 6